Starting from a PBE-relaxed structure, the PXRD pattern of PmSm2PO8 was calculated for Cu Kα, 1.54184 Å.
No peak broadening, texture or thermal motion is included.

Largest 8 diffraction maxima, by angle, 2θ from 5° to 70°:
- 2θ 24.24, I = 100, (0 1 1)
- 2θ 34.30, I = 50, (1 0 2)
- 2θ 34.79, I = 70, (1 1 0)
- 2θ 42.86, I = 42, (2 0 1)
- 2θ 49.66, I = 31, (0 2 2)
- 2θ 55.67, I = 21, (1 1 3)
- 2θ 56.34, I = 22, (1 2 1)
- 2θ 62.06, I = 19, (2 1 2)

Structure:
Unit cell a=5.1572 b=5.1572 c=6.4492 alpha=90.00 beta=90.00 gamma=120.00
Atoms (fractional coordinates):
Pm  0.0000  0.0000  0.0000
Sm  0.3333  0.6667  0.3648
Sm  0.6667  0.3333  0.6352
P  0.0000  0.0000  0.5000
O  0.1542  0.3083  0.6564
O  0.1542  0.8458  0.6564
O  0.3083  0.1542  0.3436
O  0.3333  0.6667  0.0322
O  0.6667  0.3333  0.9678
O  0.6917  0.8458  0.6564
O  0.8458  0.1542  0.3436
O  0.8458  0.6917  0.3436